# Sr4CaCd2
Calculated XRD peak list, Cu Kα, 1.54184 Å. Input: a PBE-relaxed structure.
Intensities are scaled so that the largest is 100.

Atomic structure:
a b c (Å): 10.8726 10.8726 10.8726
angles (deg): 31.63 31.63 31.63
Fractional coordinates of all 7 atoms:
Sr (0.1085, 0.1085, 0.1085)
Sr (0.2914, 0.2914, 0.2914)
Sr (0.7086, 0.7086, 0.7086)
Sr (0.8915, 0.8915, 0.8915)
Ca (0.5000, 0.5000, 0.5000)
Cd (0.4014, 0.4014, 0.4014)
Cd (0.5986, 0.5986, 0.5986)

Largest 6 diffraction maxima, in order of falling intensity, 2θ = 15–90°:
2.963 Å, 2θ = 30.16°, I = 100; 2.651 Å, 2θ = 33.81°, I = 62; 4.277 Å, 2θ = 20.77°, I = 28; 1.644 Å, 2θ = 55.94°, I = 28; 1.976 Å, 2θ = 45.93°, I = 26; 2.570 Å, 2θ = 34.92°, I = 22



# PmNd12Sm7
Calculated XRD peak list, Cu Kα, 1.54184 Å. Input: a PBE-relaxed structure.
Intensities are scaled so that the largest is 100.

Atomic structure:
a b c (Å): 10.3195 10.3195 10.3195
angles (deg): 113.16 113.16 113.16
Fractional coordinates of all 20 atoms:
Pm (0.0000, 0.0000, 0.0000)
Nd (0.0400, 0.3534, 0.3535)
Nd (0.2142, 0.5000, 0.7858)
Nd (0.2142, 0.7858, 0.5000)
Nd (0.3534, 0.0400, 0.3534)
Nd (0.3534, 0.3534, 0.0400)
Nd (0.5000, 0.2142, 0.7858)
Nd (0.5000, 0.7858, 0.2142)
Nd (0.6466, 0.6466, 0.9600)
Nd (0.6466, 0.9600, 0.6466)
Nd (0.7858, 0.2142, 0.5000)
Nd (0.7858, 0.5000, 0.2142)
Nd (0.9600, 0.6466, 0.6466)
Sm (0.0651, 0.0651, 0.4076)
Sm (0.0651, 0.4076, 0.0651)
Sm (0.4076, 0.0651, 0.0651)
Sm (0.5000, 0.5000, 0.5000)
Sm (0.5924, 0.9349, 0.9349)
Sm (0.9349, 0.5924, 0.9349)
Sm (0.9349, 0.9349, 0.5924)

Largest 6 diffraction maxima, in order of falling intensity, 2θ = 15–90°:
2.871 Å, 2θ = 31.15°, I = 100; 2.922 Å, 2θ = 30.59°, I = 64; 3.399 Å, 2θ = 26.22°, I = 32; 2.768 Å, 2θ = 32.35°, I = 27; 1.894 Å, 2θ = 48.04°, I = 25; 1.580 Å, 2θ = 58.41°, I = 23



# GeBiSbO6
Calculated XRD peak list, Cu Kα, 1.54184 Å. Input: a PBE-relaxed structure.
Intensities are scaled so that the largest is 100.

Atomic structure:
a b c (Å): 5.2059 5.2059 10.0963
angles (deg): 90.00 90.00 120.00
Fractional coordinates of all 18 atoms:
Ge (0.3333, 0.6667, 0.2500)
Ge (0.6667, 0.3333, 0.7500)
Bi (0.0000, 0.0000, 0.0000)
Bi (0.0000, 0.0000, 0.5000)
Sb (0.3333, 0.6667, 0.7500)
Sb (0.6667, 0.3333, 0.2500)
O (0.0117, 0.3774, 0.1424)
O (0.0117, 0.6342, 0.3576)
O (0.3658, 0.3774, 0.3576)
O (0.3658, 0.9883, 0.1424)
O (0.3774, 0.0117, 0.6424)
O (0.3774, 0.3658, 0.8576)
O (0.6226, 0.6342, 0.1424)
O (0.6226, 0.9883, 0.3576)
O (0.6342, 0.0117, 0.8576)
O (0.6342, 0.6226, 0.6424)
O (0.9883, 0.3658, 0.6424)
O (0.9883, 0.6226, 0.8576)

Largest 6 diffraction maxima, in order of falling intensity, 2θ = 15–90°:
3.363 Å, 2θ = 26.51°, I = 100; 1.812 Å, 2θ = 50.36°, I = 36; 2.603 Å, 2θ = 34.46°, I = 34; 2.058 Å, 2θ = 43.99°, I = 25; 1.615 Å, 2θ = 57.04°, I = 24; 1.503 Å, 2θ = 61.72°, I = 11